Starting from a DFT-relaxed cell (PBE+U, the Materials Project), the powder diffraction line list of SrLaCrSnO6 was calculated for Cu Ka.
Kinematic intensities with the Lorentz-polarization factor, no thermal factor.

Largest 8 diffraction maxima, by angle, 15° ≤ 2θ ≤ 90°:
Position (°2θ)	d/Å	Rel. int.
19.11	4.644	10
31.46	2.844	100
37.07	2.425	7
45.09	2.011	33
56.01	1.642	40
65.67	1.422	20
74.63	1.272	17
83.22	1.161	7

Crystal structure
```
SrLaCrSnO6
1.0
0.0000 4.0214 4.0214
4.0214 0.0000 4.0214
4.0214 4.0214 0.0000
Sr La Cr Sn O
1 1 1 1 6
Direct
0.0000 0.0000 0.0000
0.5000 0.5000 0.5000
0.2500 0.2500 0.2500
0.7500 0.7500 0.7500
0.0033 0.0033 0.4967
0.0033 0.4967 0.0033
0.0033 0.4967 0.4967
0.4967 0.0033 0.0033
0.4967 0.0033 0.4967
0.4967 0.4967 0.0033
```